TaZnSbO6: theoretical PXRD pattern (Cu Kα (λ = 1.5418 Å)), based on a structure optimized by DFT (PBE).
No peak broadening, texture or thermal motion is included.

Most intense lines, 15 to 90 degrees two-theta, sorted by position:
- 19.4°, 4.567 Å, intensity 62
- 27.6°, 3.227 Å, intensity 100
- 34.1°, 2.630 Å, intensity 60
- 39.5°, 2.280 Å, intensity 46
- 53.1°, 1.725 Å, intensity 56
- 57.2°, 1.611 Å, intensity 28

abc: 5.2600 5.2600 9.1432
angles: 90.00 90.00 120.00
Space group P-31c (No. 163)
Unique sites:
Ta  0.3333  0.6667  0.2500 x2
Zn  0.0000  0.0000  0.0000 x2
Sb  0.3333  0.6667  0.7500 x2
O  0.0005  0.3533  0.1327 x12

=====

Tb9Sb5O5: theoretical PXRD pattern (Cu Kα (λ = 1.5418 Å)), based on a structure optimized by DFT (PBE).
No peak broadening, texture or thermal motion is included.

Most intense lines, 15 to 90 degrees two-theta, sorted by position:
- 28.4°, 3.139 Å, intensity 44
- 30.0°, 2.977 Å, intensity 69
- 30.2°, 2.960 Å, intensity 100
- 35.0°, 2.567 Å, intensity 93
- 40.7°, 2.219 Å, intensity 63
- 51.4°, 1.779 Å, intensity 54

abc: 9.9220 9.9220 8.9308
angles: 90.00 90.00 90.00
Space group P4/n (No. 85, origin choice 2)
Unique sites:
Tb  0.0241  0.1675  0.0016 x8
Tb  0.0446  0.6455  0.6580 x8
Tb  0.2500  0.2500  0.6716 x2
Sb  0.0544  0.6543  0.3019 x8
Sb  0.2500  0.2500  0.3178 x2
O  0.0251  0.6298  0.9131 x8
O  0.2500  0.2500  0.9357 x2

=====

Tb4Sb6O19: theoretical PXRD pattern (Cu Kα (λ = 1.5418 Å)), based on a structure optimized by DFT (PBE).
No peak broadening, texture or thermal motion is included.

Most intense lines, 15 to 90 degrees two-theta, sorted by position:
- 23.1°, 3.851 Å, intensity 72
- 29.5°, 3.025 Å, intensity 46
- 29.7°, 3.009 Å, intensity 100
- 29.9°, 2.990 Å, intensity 82
- 30.5°, 2.929 Å, intensity 99
- 35.4°, 2.532 Å, intensity 49

abc: 8.1134 8.1224 8.2065
angles: 108.46 111.07 108.26
Space group P1 (No. 1)
Unique sites:
Tb  0.0000  0.0000  0.0000 x1
Tb  0.0021  0.2634  0.7155 x1
Tb  0.2724  0.9669  0.6927 x1
Tb  0.7251  0.6827  0.4088 x1
Sb  0.1457  0.4982  0.3884 x1
Sb  0.3255  0.8052  0.2032 x1
Sb  0.4817  0.3032  0.5275 x1
Sb  0.5007  0.6363  0.8797 x1
Sb  0.6537  0.1321  0.2032 x1
Sb  0.8339  0.4387  0.0177 x1
O  0.0011  0.9798  0.7042 x1
O  0.0085  0.6878  0.4433 x1
O  0.0410  0.7320  0.0563 x1
O  0.2346  0.2510  0.3088 x1
O  0.2841  0.5820  0.9549 x1
O  0.3260  0.6962  0.6897 x1
O  0.3483  0.3274  0.7041 x1
O  0.3492  0.9742  0.0636 x1
O  0.3516  0.0124  0.4526 x1
O  0.3981  0.6678  0.3515 x1
O  0.5882  0.1953  0.9828 x1
O  0.6209  0.3589  0.3726 x1
O  0.6268  0.6051  0.7028 x1
O  0.6328  0.9657  0.3413 x1
O  0.6657  0.6075  0.0991 x1
O  0.7105  0.9293  0.0328 x1
O  0.7320  0.3182  0.7164 x1
O  0.9364  0.2845  0.4230 x1
O  0.9700  0.2488  0.9648 x1

=====

TbTl2SbO8: theoretical PXRD pattern (Cu Kα (λ = 1.5418 Å)), based on a structure optimized by DFT (PBE).
No peak broadening, texture or thermal motion is included.

Most intense lines, 15 to 90 degrees two-theta, sorted by position:
- 24.8°, 3.586 Å, intensity 51
- 26.4°, 3.379 Å, intensity 43
- 31.5°, 2.844 Å, intensity 100
- 36.4°, 2.466 Å, intensity 19
- 48.1°, 1.890 Å, intensity 20
- 49.9°, 1.827 Å, intensity 21

abc: 4.9134 6.9730 4.9415
angles: 90.00 93.41 90.00
Space group P2/m (No. 10)
Unique sites:
Tb  0.0000  0.0000  0.0000 x1
Tl  0.5000  0.2572  0.5000 x2
Sb  0.0000  0.5000  0.0000 x1
O  0.1991  0.5000  0.6477 x2
O  0.2280  0.0000  0.6024 x2
O  0.2361  0.2782  0.1281 x4

=====

TbTmSb2O8: theoretical PXRD pattern (Cu Kα (λ = 1.5418 Å)), based on a structure optimized by DFT (PBE).
No peak broadening, texture or thermal motion is included.

Most intense lines, 15 to 90 degrees two-theta, sorted by position:
- 28.9°, 3.086 Å, intensity 100
- 34.2°, 2.620 Å, intensity 21
- 47.6°, 1.910 Å, intensity 31
- 49.2°, 1.852 Å, intensity 15
- 55.3°, 1.662 Å, intensity 16
- 58.1°, 1.588 Å, intensity 28

abc: 5.2396 5.2396 11.1590
angles: 90.00 90.00 90.00
Space group I-4 (No. 82)
Unique sites:
Tb  0.0000  0.0000  0.0000 x2
Tm  0.0000  0.5000  0.7500 x2
Sb  0.0000  0.0000  0.5000 x2
Sb  0.0000  0.5000  0.2500 x2
O  0.1813  0.2552  0.5906 x8
O  0.1869  0.7546  0.1615 x8

=====

TbZrSbO6: theoretical PXRD pattern (Cu Kα (λ = 1.5418 Å)), based on a structure optimized by DFT (PBE).
No peak broadening, texture or thermal motion is included.

Most intense lines, 15 to 90 degrees two-theta, sorted by position:
- 26.3°, 3.385 Å, intensity 100
- 33.0°, 2.712 Å, intensity 41
- 42.7°, 2.117 Å, intensity 26
- 50.3°, 1.815 Å, intensity 41
- 55.0°, 1.669 Å, intensity 25
- 59.0°, 1.566 Å, intensity 15

abc: 5.4243 5.4243 9.7659
angles: 90.00 90.00 120.00
Space group P-31c (No. 163)
Unique sites:
Tb  0.0000  0.0000  0.0000 x2
Zr  0.3333  0.6667  0.2500 x2
Sb  0.3333  0.6667  0.7500 x2
O  0.0159  0.3626  0.6368 x12

=====

Please write out number 4 again, unchanged.
TbTl2SbO8: theoretical PXRD pattern (Cu Kα (λ = 1.5418 Å)), based on a structure optimized by DFT (PBE).
No peak broadening, texture or thermal motion is included.

Most intense lines, 15 to 90 degrees two-theta, sorted by position:
- 24.8°, 3.586 Å, intensity 51
- 26.4°, 3.379 Å, intensity 43
- 31.5°, 2.844 Å, intensity 100
- 36.4°, 2.466 Å, intensity 19
- 48.1°, 1.890 Å, intensity 20
- 49.9°, 1.827 Å, intensity 21

abc: 4.9134 6.9730 4.9415
angles: 90.00 93.41 90.00
Space group P2/m (No. 10)
Unique sites:
Tb  0.0000  0.0000  0.0000 x1
Tl  0.5000  0.2572  0.5000 x2
Sb  0.0000  0.5000  0.0000 x1
O  0.1991  0.5000  0.6477 x2
O  0.2280  0.0000  0.6024 x2
O  0.2361  0.2782  0.1281 x4